Theoretical X-ray diffraction stick pattern
Compound: Zn3B2O6
Radiation: Cu Kα (λ = 1.5418 Å)
Structure: a structure optimized by DFT (GGA-PBE)
Neutral-atom scattering factors, no anomalous dispersion.

Principal peaks in the range 2θ from 5° to 70°, low angle first:
d_spacing, intensity
3.906, 30
3.873, 44
3.703, 40
3.662, 33
3.106, 29
3.091, 24
2.782, 100
2.541, 82
2.512, 35
2.302, 28

Cell and atoms:
Cell lengths 6.2393, 8.1952, 10.0509 Å; angles 89.48, 89.26, 74.11 degrees
Element x y z (fractional)
Zn 0.0147 0.2875 0.0811
Zn 0.1091 0.0649 0.3447
Zn 0.2223 0.1059 0.8222
Zn 0.2494 0.3989 0.4248
Zn 0.4386 0.7166 0.3213
Zn 0.4819 0.7208 0.8414
Zn 0.5181 0.2792 0.1586
Zn 0.5614 0.2834 0.6787
Zn 0.7506 0.6011 0.5752
Zn 0.7777 0.8941 0.1778
Zn 0.8909 0.9351 0.6553
Zn 0.9853 0.7125 0.9189
B 0.1568 0.5787 0.1734
B 0.1847 0.5864 0.6747
B 0.3336 0.9305 0.0860
B 0.3426 0.9030 0.5829
B 0.6574 0.0970 0.4171
B 0.6664 0.0695 0.9140
B 0.8153 0.4136 0.3253
B 0.8432 0.4213 0.8266
O 0.0031 0.6939 0.6128
O 0.0293 0.7194 0.1082
O 0.1709 0.0149 0.6521
O 0.1838 0.0621 0.1510
O 0.2115 0.5942 0.3041
O 0.2310 0.4263 0.1067
O 0.2406 0.6104 0.8041
O 0.3065 0.4475 0.6051
O 0.3208 0.9128 0.9499
O 0.3359 0.9045 0.4459
O 0.4891 0.2110 0.3502
O 0.4979 0.1836 0.8448
O 0.5021 0.8164 0.1552
O 0.5109 0.7890 0.6498
O 0.6641 0.0955 0.5541
O 0.6792 0.0872 0.0501
O 0.6935 0.5525 0.3949
O 0.7594 0.3896 0.1959
O 0.7690 0.5737 0.8933
O 0.7885 0.4058 0.6959
O 0.8162 0.9379 0.8490
O 0.8291 0.9851 0.3479
O 0.9707 0.2806 0.8918
O 0.9969 0.3061 0.3872


Theoretical X-ray diffraction stick pattern
Compound: BOs
Radiation: Cu Kα (λ = 1.5418 Å)
Structure: a structure optimized by DFT (GGA-PBE)
Neutral-atom scattering factors, no anomalous dispersion.

Principal peaks in the range 2θ from 5° to 70°, low angle first:
d_spacing, intensity
2.876, 46
2.507, 100
1.890, 95
1.448, 21
1.438, 7

Cell and atoms:
Cell lengths 2.8953, 2.8953, 2.8756 Å; angles 90.00, 90.00, 120.00 degrees
Element x y z (fractional)
B 0.0000 0.0000 0.0000
Os 0.6667 0.3333 0.5000


Theoretical X-ray diffraction stick pattern
Compound: PrB4Os
Radiation: Cu Kα (λ = 1.5418 Å)
Structure: a structure optimized by DFT (GGA-PBE)
Neutral-atom scattering factors, no anomalous dispersion.

Principal peaks in the range 2θ from 5° to 70°, low angle first:
d_spacing, intensity
3.818, 75
2.738, 73
2.712, 36
2.225, 100
2.211, 49
1.909, 17
1.571, 18
1.566, 28
1.561, 14
1.453, 20

Cell and atoms:
Cell lengths 3.1716, 5.4246, 7.6363 Å; angles 90.00, 90.00, 90.00 degrees
Element x y z (fractional)
Pr 0.0000 0.0000 0.0000
Pr 0.5000 0.5000 0.5000
B 0.0000 0.3362 0.2466
B 0.0000 0.3362 0.7534
B 0.0000 0.6638 0.2466
B 0.0000 0.6638 0.7534
B 0.5000 0.1638 0.2534
B 0.5000 0.1638 0.7466
B 0.5000 0.8362 0.2534
B 0.5000 0.8362 0.7466
Os 0.0000 0.0000 0.5000
Os 0.5000 0.5000 0.0000


Theoretical X-ray diffraction stick pattern
Compound: Pr2Tc2B5Os
Radiation: Cu Kα (λ = 1.5418 Å)
Structure: a structure optimized by DFT (GGA-PBE)
Neutral-atom scattering factors, no anomalous dispersion.

Principal peaks in the range 2θ from 5° to 70°, low angle first:
d_spacing, intensity
3.677, 20
3.628, 26
2.927, 100
2.747, 53
2.677, 17
2.601, 62
2.549, 36
2.111, 21
1.944, 15
1.689, 16

Cell and atoms:
Cell lengths 5.7383, 5.7383, 8.2784 Å; angles 123.51, 123.51, 41.45 degrees
Element x y z (fractional)
Pr 0.1670 0.1670 0.2643
Pr 0.8330 0.8330 0.7357
Tc 0.3892 0.3476 0.0989
Tc 0.6524 0.6108 0.9011
B 0.1565 0.1335 0.8080
B 0.2646 0.6937 0.3829
B 0.3063 0.7354 0.6171
B 0.5002 0.4998 0.0000
B 0.8665 0.8435 0.1920
Os 0.7918 0.2082 0.5000